# 1
Starting from a structure optimized by DFT (PBE), the powder diffraction line list of Tm2Si2O7 was simulated for copper Kα.
Intensities are scaled so that the largest is 100.

Largest 10 diffraction maxima, in order of rising 2θ, 2θ = 10–80°:
Position (°2θ)  intensity
16.57  39
19.05  83
26.70  27
27.41  34
27.65  100
29.47  65
32.90  51
33.49  38
39.75  38
42.40  30

Cell: 5.6265 5.6265 4.7649 Å, 97.30 97.30 105.26°
Element x y z (fractional)
Tm1 0.1919 0.8081 0.0000
Tm2 0.8081 0.1919 0.0000
Si1 0.2811 0.2811 0.5904
Si2 0.7189 0.7189 0.4096
O1 0.1136 0.4159 0.7813
O2 0.1172 0.1172 0.2836
O3 0.4159 0.1136 0.7813
O4 0.5000 0.5000 0.5000
O5 0.5841 0.8864 0.2187
O6 0.8828 0.8828 0.7164
O7 0.8864 0.5841 0.2187

=====

# 2
Starting from a structure optimized by DFT (PBE), the powder diffraction line list of Ba2MgIn was simulated for copper Kα.
Intensities are scaled so that the largest is 100.

Largest 10 diffraction maxima, in order of rising 2θ, 2θ = 10–80°:
Position (°2θ)  intensity
17.85  11
20.64  10
29.35  100
34.56  7
41.99  19
47.22  5
52.05  39
60.88  12
69.01  17
76.71  4

Cell: 8.6074 8.6074 8.6074 Å, 90.00 90.00 90.00°
Element x y z (fractional)
Ba1 0.2500 0.2500 0.2500
Ba2 0.2500 0.2500 0.7500
Ba3 0.2500 0.7500 0.2500
Ba4 0.2500 0.7500 0.7500
Ba5 0.7500 0.2500 0.2500
Ba6 0.7500 0.2500 0.7500
Ba7 0.7500 0.7500 0.2500
Ba8 0.7500 0.7500 0.7500
Mg1 0.0000 0.0000 0.0000
Mg2 0.0000 0.5000 0.5000
Mg3 0.5000 0.0000 0.5000
Mg4 0.5000 0.5000 0.0000
In1 0.0000 0.0000 0.5000
In2 0.0000 0.5000 0.0000
In3 0.5000 0.0000 0.0000
In4 0.5000 0.5000 0.5000

=====

# 3
Starting from a structure optimized by DFT (PBE), the powder diffraction line list of LiMg2 was simulated for copper Kα.
Intensities are scaled so that the largest is 100.

Largest 10 diffraction maxima, in order of rising 2θ, 2θ = 10–80°:
Position (°2θ)  intensity
20.65  28
21.83  11
32.98  24
35.44  26
37.58  100
49.19  15
58.90  17
65.04  19
70.65  19
71.99  13

Cell: 3.1377 16.2884 5.0661 Å, 90.00 90.00 90.00°
Element x y z (fractional)
Li1 0.0000 0.1109 0.2500
Li2 0.0000 0.8891 0.7500
Li3 0.5000 0.3891 0.7500
Li4 0.5000 0.6109 0.2500
Mg1 0.0000 0.2223 0.7500
Mg2 0.0000 0.4448 0.2500
Mg3 0.0000 0.5552 0.7500
Mg4 0.0000 0.7777 0.2500
Mg5 0.5000 0.0552 0.7500
Mg6 0.5000 0.2777 0.2500
Mg7 0.5000 0.7223 0.7500
Mg8 0.5000 0.9448 0.2500

=====

# 4
Starting from a structure optimized by DFT (PBE), the powder diffraction line list of Er3Mn3Ga2Ge was simulated for copper Kα.
Intensities are scaled so that the largest is 100.

Largest 10 diffraction maxima, in order of rising 2θ, 2θ = 10–80°:
Position (°2θ)  intensity
25.48  17
29.51  26
33.64  90
36.86  100
39.37  39
44.02  26
54.66  19
59.45  32
60.52  21
71.72  17

Cell: 6.9913 6.9913 4.1141 Å, 90.00 90.00 120.00°
Element x y z (fractional)
Er1 0.0887 0.3354 0.0000
Er2 0.2467 0.9113 0.0000
Er3 0.6646 0.7533 0.0000
Mn1 0.4394 0.3375 0.5000
Mn2 0.6625 0.1018 0.5000
Mn3 0.8982 0.5606 0.5000
Ga1 0.0000 0.0000 0.5000
Ga2 0.6667 0.3333 0.0000
Ge1 0.3333 0.6667 0.5000

=====

# 5
Starting from a structure optimized by DFT (PBE), the powder diffraction line list of YGaCo was simulated for copper Kα.
Intensities are scaled so that the largest is 100.

Largest 10 diffraction maxima, in order of rising 2θ, 2θ = 10–80°:
Position (°2θ)  intensity
34.83  54
35.82  100
38.92  11
41.33  26
42.54  39
42.78  33
56.93  12
60.99  16
69.11  20
77.59  10

Cell: 6.8616 4.2279 7.3749 Å, 90.00 90.00 90.00°
Element x y z (fractional)
Y1 0.0166 0.2500 0.1909
Y2 0.4834 0.7500 0.6909
Y3 0.5166 0.2500 0.3091
Y4 0.9834 0.7500 0.8091
Ga1 0.1732 0.2500 0.5781
Ga2 0.3268 0.7500 0.0781
Ga3 0.6732 0.2500 0.9219
Ga4 0.8268 0.7500 0.4219
Co1 0.2023 0.7500 0.3996
Co2 0.2977 0.2500 0.8996
Co3 0.7023 0.7500 0.1004
Co4 0.7977 0.2500 0.6004

=====

# 6
Starting from a structure optimized by DFT (PBE), the powder diffraction line list of Tb5Te9 was simulated for copper Kα.
Intensities are scaled so that the largest is 100.

Largest 10 diffraction maxima, in order of rising 2θ, 2θ = 10–80°:
Position (°2θ)  intensity
22.79  26
28.54  23
29.22  59
29.58  45
30.87  91
35.43  100
36.29  87
41.79  69
52.03  28
56.52  46

Cell: 9.6659 9.6659 18.1197 Å, 90.00 90.00 90.00°
Element x y z (fractional)
Tb1 0.0000 0.5000 0.1050
Tb2 0.0000 0.5000 0.6271
Tb3 0.0919 0.7971 0.3856
Tb4 0.0964 0.8011 0.8821
Tb5 0.1989 0.0964 0.1179
Tb6 0.2029 0.0919 0.6144
Tb7 0.3018 0.4007 0.3887
Tb8 0.3017 0.4057 0.8837
Tb9 0.4007 0.6982 0.6113
Tb10 0.4057 0.6983 0.1163
Tb11 0.5000 0.0000 0.3729
Tb12 0.5000 0.0000 0.8950
Tb13 0.5943 0.3017 0.1163
Tb14 0.5993 0.3018 0.6113
Tb15 0.6983 0.5943 0.8837
Tb16 0.6982 0.5993 0.3887
Tb17 0.7971 0.9081 0.6144
Tb18 0.8011 0.9036 0.1179
Tb19 0.9036 0.1989 0.8821
Tb20 0.9081 0.2029 0.3856
Te1 0.0000 0.0000 0.2474
Te2 0.0000 0.0000 0.7526
Te3 0.0000 0.5000 0.4478
Te4 0.0000 0.5000 0.9306
Te5 0.0832 0.3755 0.2605
Te6 0.0999 0.7994 0.5650
Te7 0.1010 0.7981 0.0638
Te8 0.1330 0.2837 0.7506
Te9 0.2006 0.0999 0.4350
Te10 0.2019 0.1010 0.9362
Te11 0.2079 0.6171 0.7511
Te12 0.2837 0.8670 0.2494
Te13 0.2983 0.4014 0.0635
Te14 0.3007 0.3963 0.5667
Te15 0.3755 0.9168 0.7395
Te16 0.3829 0.2079 0.2489
Te17 0.3963 0.6993 0.4333
Te18 0.4014 0.7017 0.9365
Te19 0.5000 0.0000 0.0694
Te20 0.5000 0.0000 0.5522
Te21 0.5000 0.5000 0.2488
Te22 0.5000 0.5000 0.7512
Te23 0.5986 0.2983 0.9365
Te24 0.6037 0.3007 0.4333
Te25 0.6171 0.7921 0.2489
Te26 0.6245 0.0832 0.7395
Te27 0.6993 0.6037 0.5667
Te28 0.7017 0.5986 0.0635
Te29 0.7163 0.1330 0.2494
Te30 0.7921 0.3829 0.7511
Te31 0.7981 0.8990 0.9362
Te32 0.7994 0.9001 0.4350
Te33 0.8670 0.7163 0.7506
Te34 0.8990 0.2019 0.0638
Te35 0.9001 0.2006 0.5650
Te36 0.9168 0.6245 0.2605

=====

# 7
Starting from a structure optimized by DFT (PBE), the powder diffraction line list of LuAlO3 was simulated for copper Kα.
Intensities are scaled so that the largest is 100.

Largest 10 diffraction maxima, in order of rising 2θ, 2θ = 10–80°:
Position (°2θ)  intensity
17.31  61
27.56  74
32.73  100
35.03  21
45.14  52
48.79  22
52.15  17
59.88  13
61.37  29
61.47  15

Cell: 6.4804 6.4804 10.2461 Å, 90.00 90.00 59.78°
Element x y z (fractional)
Lu1 0.0000 0.0000 0.0000
Lu2 0.0000 0.0000 0.5000
Lu3 0.3314 0.3314 0.0000
Lu4 0.3314 0.3314 0.5000
Lu5 0.6686 0.6686 0.0000
Lu6 0.6686 0.6686 0.5000
Al1 0.0562 0.6657 0.2500
Al2 0.3343 0.9438 0.2500
Al3 0.3817 0.6183 0.7500
Al4 0.6183 0.3817 0.2500
Al5 0.6657 0.0562 0.7500
Al6 0.9438 0.3343 0.7500
O1 0.0206 0.3336 0.5860
O2 0.0206 0.3336 0.9140
O3 0.0580 0.9420 0.2500
O4 0.3145 0.6855 0.5810
O5 0.3145 0.6855 0.9190
O6 0.3336 0.0206 0.0860
O7 0.3336 0.0206 0.4140
O8 0.3373 0.3928 0.2500
O9 0.3928 0.3373 0.7500
O10 0.6072 0.6627 0.2500
O11 0.6627 0.6072 0.7500
O12 0.6664 0.9794 0.5860
O13 0.6664 0.9794 0.9140
O14 0.6855 0.3145 0.0810
O15 0.6855 0.3145 0.4190
O16 0.9420 0.0580 0.7500
O17 0.9794 0.6664 0.0860
O18 0.9794 0.6664 0.4140

=====

# 8
Starting from a structure optimized by DFT (PBE), the powder diffraction line list of BaIn4 was simulated for copper Kα.
Intensities are scaled so that the largest is 100.

Largest 10 diffraction maxima, in order of rising 2θ, 2θ = 10–80°:
Position (°2θ)  intensity
28.05  51
28.89  100
35.48  68
38.66  33
40.86  28
45.83  26
51.05  24
55.21  23
59.72  25
71.98  15

Cell: 5.0599 5.0599 12.2734 Å, 90.00 90.00 90.00°
Element x y z (fractional)
Ba1 0.0000 0.0000 0.0000
Ba2 0.5000 0.5000 0.5000
In1 0.0000 0.0000 0.3833
In2 0.0000 0.0000 0.6167
In3 0.0000 0.5000 0.2500
In4 0.0000 0.5000 0.7500
In5 0.5000 0.0000 0.2500
In6 0.5000 0.0000 0.7500
In7 0.5000 0.5000 0.1167
In8 0.5000 0.5000 0.8833